1.
Structure and computed powder diffraction line list of NpCd2AgO6 (a structure optimized by DFT (PBE); λ = 1.5418 Å (Cu Kα)).
Lines closer than 0.1° are merged.

The 6 most intense peaks (2θ from 10° to 90°), by intensity:
two_theta  Rel. int.
31.05  100
29.24  94
47.35  46
21.20  38
43.17  36
54.12  36

Crystal structure
Unit cell a=5.7611 b=5.7611 c=15.4527 alpha=90.00 beta=90.00 gamma=120.00
Space group R3 (No. 146, hexagonal axes)
Unique sites:
Np (0.0000, 0.0000, 0.0000) x3
Cd (0.0000, 0.0000, 0.3065) x3
Cd (0.0000, 0.0000, 0.7914) x3
Ag (0.0000, 0.0000, 0.5152) x3
O (0.0004, 0.7224, 0.9175) x9
O (0.0195, 0.3110, 0.0709) x9

---

2.
Structure and computed powder diffraction line list of CdAg2O2 (a structure optimized by DFT (PBE); λ = 1.5418 Å (Cu Kα)).
Lines closer than 0.1° are merged.

The 6 most intense peaks (2θ from 10° to 90°), by intensity:
two_theta  Rel. int.
33.54  100
31.10  61
33.81  55
33.38  46
32.68  35
52.71  34

Crystal structure
Unit cell a=8.796 b=9.758 c=6.159 alpha=90.00 beta=133.44 gamma=90.00
Space group C2/c (No. 15)
Unique sites:
Cd (0.000, 0.060, 0.250) x4
Ag (0.000, 0.500, 0.000) x4
Ag (0.250, 0.250, 0.000) x4
O (0.197, 0.085, 0.162) x8

---

3.
Structure and computed powder diffraction line list of Cd2AgRuO6 (a structure optimized by DFT (PBE); λ = 1.5418 Å (Cu Kα)).
Lines closer than 0.1° are merged.

The 6 most intense peaks (2θ from 10° to 90°), by intensity:
two_theta  Rel. int.
30.95  100
31.69  90
44.89  42
55.99  39
56.45  25
54.57  16

Crystal structure
Unit cell a=5.6464 b=5.6464 c=14.3270 alpha=90.00 beta=90.00 gamma=120.00
Space group R3 (No. 146, hexagonal axes)
Unique sites:
Cd (0.0000, 0.0000, 0.0000) x3
Cd (0.0000, 0.0000, 0.4995) x3
Ag (0.0000, 0.0000, 0.2329) x3
Ru (0.0000, 0.0000, 0.7202) x3
O (0.0211, 0.3971, 0.4498) x9
O (0.0715, 0.6780, 0.2948) x9

---

4.
Structure and computed powder diffraction line list of CdAg2SO4 (a structure optimized by DFT (PBE); λ = 1.5418 Å (Cu Kα)).
Lines closer than 0.1° are merged.

The 6 most intense peaks (2θ from 10° to 90°), by intensity:
two_theta  Rel. int.
25.86  100
35.14  82
51.87  56
36.90  35
60.05  17
77.47  16

Crystal structure
Unit cell a=6.890 b=6.890 c=5.998 alpha=90.00 beta=90.00 gamma=90.00
Space group I-4 (No. 82)
Unique sites:
Cd (0.000, 0.000, 0.000) x2
Ag (0.000, 0.000, 0.500) x2
Ag (0.000, 0.500, 0.750) x2
S (0.000, 0.500, 0.250) x2
O (0.083, 0.345, 0.398) x8